# 1
The following is a calculated X-ray diffraction stick pattern of Er5HgPb4. It was derived from the PBE geometry in Alexandria, using Cu Kα (weighted mean of Kα1 and Kα2).
Lines closer than 0.1° are merged.

Most intense lines, 2θ from 10° to 80°, in order of rising 2θ:
d [Å]  I/Imax
3.136  30
3.081  100
2.854  18
2.637  15
2.198  54
2.179  38
1.789  27
1.541  12
1.378  16
1.262  14

Cell and atoms:
```
Er5HgPb4
1.0
-4.872 4.872 3.136
4.872 -4.872 3.136
4.872 4.872 -3.136
Er Hg Pb
5 1 4
direct
0.000 0.000 0.000
0.347 0.563 0.595
0.563 0.969 0.216
0.753 0.347 0.784
0.969 0.753 0.405
0.503 0.503 0.000
0.058 0.447 0.183
0.265 0.875 0.817
0.447 0.265 0.389
0.875 0.058 0.611
```


# 2
The following is a calculated X-ray diffraction stick pattern of TiP2O7. It was derived from the PBE geometry in Alexandria, using Cu Kα (weighted mean of Kα1 and Kα2).
Lines closer than 0.1° are merged.

Most intense lines, 2θ from 10° to 80°, in order of rising 2θ:
d [Å]  I/Imax
6.780  9
5.214  100
4.104  25
3.924  41
3.491  20
3.206  25
3.131  11
3.014  43
2.961  16
2.607  9

Cell and atoms:
```
TiP2O7
1.0
4.919 0.000 0.000
0.000 8.156 0.000
-1.828 0.000 6.780
Ti P O
2 4 14
direct
0.212 0.000 0.230
0.788 0.500 0.770
0.251 0.739 0.613
0.385 0.315 0.004
0.615 0.815 0.996
0.749 0.239 0.387
0.005 0.178 0.325
0.140 0.436 0.956
0.165 0.847 0.429
0.284 0.140 0.021
0.425 0.864 0.779
0.429 0.828 0.139
0.449 0.598 0.594
0.551 0.098 0.406
0.571 0.328 0.861
0.575 0.364 0.221
0.716 0.640 0.979
0.835 0.347 0.571
0.860 0.936 0.044
0.995 0.678 0.675
```


# 3
The following is a calculated X-ray diffraction stick pattern of Tl3CdHg7. It was derived from the PBE geometry in Alexandria, using Cu Kα (weighted mean of Kα1 and Kα2).
Lines closer than 0.1° are merged.

Most intense lines, 2θ from 10° to 80°, in order of rising 2θ:
d [Å]  I/Imax
3.531  23
2.887  88
2.845  100
2.671  21
2.599  87
2.552  80
2.026  73
1.602  24
1.444  29
1.276  25

Cell and atoms:
```
Tl3CdHg7
1.0
5.691 -5.775 0.000
5.691 5.775 0.000
-2.715 0.000 5.002
Tl Cd Hg
3 1 7
direct
0.000 0.000 0.000
0.230 0.770 0.500
0.770 0.230 0.500
0.500 0.500 0.000
0.081 0.582 0.834
0.196 0.196 0.677
0.418 0.919 0.166
0.500 0.500 0.500
0.582 0.081 0.834
0.804 0.804 0.323
0.919 0.418 0.166
```


# 4
The following is a calculated X-ray diffraction stick pattern of CsWS4. It was derived from the PBE geometry in Alexandria, using Cu Kα (weighted mean of Kα1 and Kα2).
Lines closer than 0.1° are merged.

Most intense lines, 2θ from 10° to 80°, in order of rising 2θ:
d [Å]  I/Imax
8.413  44
4.519  64
4.207  59
3.954  48
3.326  51
2.903  100
2.608  34
2.293  30
2.217  27
1.747  24

Cell and atoms:
```
CsWS4
1.0
4.918 0.000 0.000
0.000 3.620 0.000
-1.305 0.000 8.413
Cs W S
1 1 4
direct
0.000 0.000 0.000
0.500 0.500 0.500
0.149 0.000 0.422
0.434 0.500 0.758
0.566 0.500 0.242
0.851 0.000 0.578
```